# 1
The following is a theoretical powder diffraction line list of Sn5HgTe4. It was derived from a structure optimized by DFT (GGA-PBE), using Cu Kα (λ = 1.5418 Å).
Kinematic intensities with the Lorentz-polarization factor, no thermal factor.

Most intense lines, 10 to 90 degrees two-theta, in order of rising 2θ:
| 2θ (°) | I/Imax |
| --- | --- |
| 28.20 | 100 |
| 40.31 | 77 |
| 49.92 | 28 |
| 65.97 | 25 |
| 66.11 | 12 |
| 73.24 | 18 |

Cell and atoms:
```
Sn5HgTe4
1.0
-2.240 2.240 15.794
2.240 -2.240 15.794
2.240 2.240 -15.794
Sn Hg Te
5 1 4
direct
0.000 0.000 0.000
0.201 0.201 0.000
0.403 0.403 0.000
0.597 0.597 0.000
0.799 0.799 0.000
0.500 0.500 0.000
0.101 0.101 0.000
0.303 0.303 0.000
0.697 0.697 0.000
0.899 0.899 0.000
```


# 2
The following is a theoretical powder diffraction line list of Sn2Hg4Te5. It was derived from a structure optimized by DFT (GGA-PBE), using Cu Kα (λ = 1.5418 Å).
Kinematic intensities with the Lorentz-polarization factor, no thermal factor.

Most intense lines, 10 to 90 degrees two-theta, in order of rising 2θ:
| 2θ (°) | I/Imax |
| --- | --- |
| 22.41 | 48 |
| 27.51 | 100 |
| 39.25 | 86 |
| 39.36 | 53 |
| 48.60 | 24 |
| 71.19 | 34 |

Cell and atoms:
```
Sn2Hg4Te5
1.0
2.295 1.325 20.532
-2.295 1.325 20.532
0.000 -2.650 20.532
Sn Hg Te
2 4 5
direct
0.137 0.137 0.137
0.863 0.863 0.863
0.316 0.316 0.316
0.417 0.417 0.417
0.583 0.583 0.583
0.684 0.684 0.684
0.225 0.225 0.225
0.371 0.371 0.371
0.500 0.500 0.500
0.629 0.629 0.629
0.775 0.775 0.775
```


# 3
The following is a theoretical powder diffraction line list of TlSnHg2Te4. It was derived from a structure optimized by DFT (GGA-PBE), using Cu Kα (λ = 1.5418 Å).
Kinematic intensities with the Lorentz-polarization factor, no thermal factor.

Most intense lines, 10 to 90 degrees two-theta, in order of rising 2θ:
| 2θ (°) | I/Imax |
| --- | --- |
| 25.27 | 100 |
| 31.01 | 68 |
| 38.31 | 34 |
| 42.43 | 26 |
| 43.56 | 25 |
| 49.65 | 20 |

Cell and atoms:
```
TlSnHg2Te4
1.0
-3.782 4.450 4.460
3.782 -4.450 4.460
3.782 4.450 -4.460
Tl Sn Hg Te
1 1 2 4
direct
0.000 0.000 0.000
0.500 0.000 0.500
0.318 0.500 0.818
0.682 0.500 0.182
0.119 0.030 0.536
0.494 0.582 0.464
0.506 0.970 0.089
0.881 0.418 0.911
```


# 4
The following is a theoretical powder diffraction line list of ThTlSnHg. It was derived from a structure optimized by DFT (GGA-PBE), using Cu Kα (λ = 1.5418 Å).
Kinematic intensities with the Lorentz-polarization factor, no thermal factor.

Most intense lines, 10 to 90 degrees two-theta, in order of rising 2θ:
| 2θ (°) | I/Imax |
| --- | --- |
| 32.62 | 100 |
| 36.37 | 19 |
| 38.43 | 16 |
| 38.69 | 16 |
| 63.09 | 16 |
| 65.86 | 14 |

Cell and atoms:
```
ThTlSnHg
1.0
4.655 0.000 0.000
0.000 4.685 0.000
0.000 0.000 4.940
Th Tl Sn Hg
1 1 1 1
direct
0.000 0.000 0.000
0.500 0.000 0.500
0.500 0.500 0.000
0.000 0.500 0.500
```


# 5
The following is a theoretical powder diffraction line list of Ti6SnHg. It was derived from a structure optimized by DFT (GGA-PBE), using Cu Kα (λ = 1.5418 Å).
Kinematic intensities with the Lorentz-polarization factor, no thermal factor.

Most intense lines, 10 to 90 degrees two-theta, in order of rising 2θ:
| 2θ (°) | I/Imax |
| --- | --- |
| 17.46 | 22 |
| 25.56 | 48 |
| 35.34 | 25 |
| 37.57 | 27 |
| 40.19 | 100 |
| 69.56 | 26 |

Cell and atoms:
```
Ti6SnHg
1.0
5.866 0.000 0.000
-2.933 5.080 0.000
0.000 0.000 4.788
Ti Sn Hg
6 1 1
direct
0.007 0.504 0.000
0.167 0.334 0.500
0.167 0.833 0.500
0.496 0.504 0.000
0.496 0.993 0.000
0.666 0.833 0.500
0.000 0.000 0.000
0.667 0.333 0.500
```


# 6
The following is a theoretical powder diffraction line list of Tl2SnHg6. It was derived from a structure optimized by DFT (GGA-PBE), using Cu Kα (λ = 1.5418 Å).
Kinematic intensities with the Lorentz-polarization factor, no thermal factor.

Most intense lines, 10 to 90 degrees two-theta, in order of rising 2θ:
| 2θ (°) | I/Imax |
| --- | --- |
| 30.31 | 100 |
| 34.03 | 26 |
| 35.69 | 43 |
| 38.16 | 13 |
| 50.14 | 29 |
| 60.81 | 18 |

Cell and atoms:
```
Tl2SnHg6
1.0
-3.558 3.558 5.269
3.558 -3.558 5.269
3.558 3.558 -5.269
Tl Sn Hg
2 1 6
direct
0.250 0.750 0.500
0.750 0.250 0.500
0.000 0.000 0.000
0.277 0.277 0.000
0.286 0.286 0.573
0.286 0.714 0.000
0.714 0.286 0.000
0.714 0.714 0.427
0.723 0.723 0.000
```